This entry pairs a crystal structure of MgNb2S4Br4 with its computed powder XRD pattern. Radiation: Cu Kα. Structure: a DFT-relaxed cell (GGA-PBE, the Materials Project).
Lines closer than 0.1° are merged.

Largest 10 diffraction maxima, in order of rising 2θ, 10° ≤ 2θ ≤ 80°:
2θ 13.22, rel. 100; 2θ 18.48, rel. 46; 2θ 27.63, rel. 34; 2θ 30.37, rel. 40; 2θ 32.87, rel. 46; 2θ 34.60, rel. 56; 2θ 39.37, rel. 38; 2θ 39.59, rel. 31; 2θ 39.73, rel. 37; 2θ 43.32, rel. 32

abc: 6.8934 6.8934 6.9750
angles: 97.15 97.15 126.91
Sites, in units of the cell vectors:
Mg  0.0000  0.0000  0.0000
Nb  0.3353  0.6647  0.5000
Nb  0.5640  0.4360  0.5000
S  0.1243  0.2244  0.6017
S  0.3363  0.4385  0.1990
S  0.5615  0.6637  0.8010
S  0.7756  0.8757  0.3983
Br  0.0456  0.7156  0.7339
Br  0.2844  0.9544  0.2661
Br  0.6121  0.1466  0.7216
Br  0.8534  0.3879  0.2784